(1)
The following is a calculated PXRD pattern of AcNd2Ge2Pt7. It was derived from the PBE geometry in Alexandria, using a wavelength of 1.5418 Å.
Kinematic intensities with the Lorentz-polarization factor, no thermal factor.

Top 8 peaks for 2θ = 10–90°, by angle:
d/Å, 2theta, Rel. int.
2.807, 31.88, 38
2.717, 32.97, 100
2.613, 34.31, 83
2.491, 36.06, 92
2.144, 42.15, 22
2.110, 42.87, 84
2.099, 43.09, 33
1.472, 63.19, 25

Structure:
a = 4.225 Å, b = 4.225 Å, c = 14.202 Å
α = 96.34°, β = 96.34°, γ = 88.31°
Sites, in units of the cell vectors:
Ac 0.000 0.000 0.000
Nd 0.115 0.115 0.360
Nd 0.885 0.885 0.640
Ge 0.399 0.399 0.741
Ge 0.601 0.601 0.259
Pt 0.067 0.563 0.166
Pt 0.378 0.378 0.569
Pt 0.437 0.933 0.834
Pt 0.500 0.500 0.000
Pt 0.563 0.067 0.166
Pt 0.622 0.622 0.431
Pt 0.933 0.437 0.834

(2)
The following is a calculated PXRD pattern of AcNdGeRh. It was derived from the PBE geometry in Alexandria, using a wavelength of 1.5418 Å.
Kinematic intensities with the Lorentz-polarization factor, no thermal factor.

Top 8 peaks for 2θ = 10–90°, by angle:
d/Å, 2theta, Rel. int.
3.522, 25.29, 80
3.442, 25.88, 43
3.405, 26.17, 56
3.234, 27.58, 83
2.843, 31.47, 94
2.408, 37.35, 100
2.275, 39.61, 39
2.057, 44.02, 64

Structure:
a = 4.816 Å, b = 4.816 Å, c = 10.326 Å
α = 90.00°, β = 90.00°, γ = 90.00°
Sites, in units of the cell vectors:
Ac 0.250 0.250 0.173
Ac 0.750 0.750 0.827
Nd 0.250 0.750 0.500
Nd 0.750 0.250 0.500
Ge 0.250 0.250 0.875
Ge 0.750 0.750 0.125
Rh 0.250 0.250 0.647
Rh 0.750 0.750 0.353

(3)
The following is a calculated PXRD pattern of AcNdZnGe. It was derived from the PBE geometry in Alexandria, using a wavelength of 1.5418 Å.
Kinematic intensities with the Lorentz-polarization factor, no thermal factor.

Top 8 peaks for 2θ = 10–90°, by angle:
d/Å, 2theta, Rel. int.
3.450, 25.82, 29
2.968, 30.11, 100
2.951, 30.28, 45
2.430, 36.99, 19
2.423, 37.11, 33
2.218, 40.68, 19
2.121, 42.62, 17
1.723, 53.15, 27

Structure:
a = 4.242 Å, b = 4.436 Å, c = 11.860 Å
α = 90.00°, β = 90.00°, γ = 90.00°
Sites, in units of the cell vectors:
Ac 0.000 0.000 0.000
Ac 0.000 0.500 0.500
Nd 0.500 0.000 0.286
Nd 0.500 0.500 0.786
Zn 0.500 0.000 0.588
Zn 0.500 0.500 0.088
Ge 0.000 0.000 0.723
Ge 0.000 0.500 0.223

(4)
The following is a calculated PXRD pattern of Ac5Ni3Ge3. It was derived from the PBE geometry in Alexandria, using a wavelength of 1.5418 Å.
Kinematic intensities with the Lorentz-polarization factor, no thermal factor.

Top 8 peaks for 2θ = 10–90°, by angle:
d/Å, 2theta, Rel. int.
4.277, 20.77, 68
3.141, 28.41, 53
3.030, 29.48, 84
2.673, 33.53, 37
2.473, 36.33, 100
2.139, 42.26, 22
1.748, 52.34, 48
1.619, 56.86, 37

Structure:
a = 9.258 Å, b = 9.258 Å, c = 4.277 Å
α = 90.00°, β = 90.00°, γ = 120.00°
Sites, in units of the cell vectors:
Ac 0.000 0.763 0.000
Ac 0.237 0.237 0.000
Ac 0.333 0.667 0.000
Ac 0.667 0.333 0.000
Ac 0.763 0.000 0.000
Ni 0.000 0.422 0.000
Ni 0.422 0.000 0.000
Ni 0.578 0.578 0.000
Ge 0.000 0.330 0.500
Ge 0.330 0.000 0.500
Ge 0.670 0.670 0.500